No. 1
The following is a computed powder X-ray diffraction pattern of TaAlAs. It was derived from a crystal structure in Alexandria, relaxed with GGA-PBE, using copper Kα.
Neutral-atom scattering factors, no anomalous dispersion.

Structural model:
a = 4.9793 Å, b = 4.9793 Å, c = 4.9793 Å
α = 140.69°, β = 140.69°, γ = 56.80°
Positions (direct):
Ta: 0.0000 0.0000 0.0000
Al: 0.6779 0.6779 0.0000
As: 0.3483 0.3483 0.0000

Main lines, sorted by position (10 to 90 degrees two-theta):
d [Å], two_theta, I (rel.)
4.380, 20.3, 40.1
3.128, 28.5, 54.1
2.368, 38.0, 62.9
2.201, 41.0, 100.0
2.083, 43.4, 23.2
1.675, 54.8, 21.8
1.552, 59.5, 11.7
1.476, 63.0, 12.1
1.333, 70.7, 40.1
1.243, 76.7, 15.2


No. 2
The following is a computed powder X-ray diffraction pattern of TaAlAs. It was derived from a crystal structure in Alexandria, relaxed with GGA-PBE, using copper Kα.
Neutral-atom scattering factors, no anomalous dispersion.

Structural model:
a = 6.2879 Å, b = 5.1657 Å, c = 5.0218 Å
α = 76.21°, β = 52.93°, γ = 50.86°
Positions (direct):
Ta: 0.0000 0.0000 0.0000
Ta: 0.2500 0.2500 0.2500
Al: 0.5898 0.9102 0.5898
Al: 0.9102 0.5898 0.9102
As: 0.3419 0.6581 0.3419
As: 0.6581 0.3419 0.6581

Main lines, sorted by position (10 to 90 degrees two-theta):
d [Å], two_theta, I (rel.)
3.900, 22.8, 64.8
3.142, 28.4, 45.0
2.475, 36.3, 20.3
2.419, 37.2, 100.0
2.264, 39.8, 40.4
2.180, 41.4, 77.7
1.930, 47.1, 51.1
1.469, 63.3, 21.1
1.422, 65.6, 18.9
1.385, 67.7, 16.4


No. 3
The following is a computed powder X-ray diffraction pattern of AlTc2As. It was derived from a crystal structure in Alexandria, relaxed with GGA-PBE, using copper Kα.
Neutral-atom scattering factors, no anomalous dispersion.

Structural model:
a = 8.2478 Å, b = 8.2478 Å, c = 8.2478 Å
α = 20.44°, β = 20.44°, γ = 20.44°
Positions (direct):
Al: 0.0000 0.0000 0.0000
Tc: 0.2459 0.2459 0.2459
Tc: 0.7541 0.7541 0.7541
As: 0.5000 0.5000 0.5000

Main lines, sorted by position (10 to 90 degrees two-theta):
d [Å], two_theta, I (rel.)
8.073, 11.0, 30.8
4.036, 22.0, 13.9
2.481, 36.2, 11.9
2.338, 38.5, 100.0
2.018, 44.9, 20.2
1.943, 46.7, 55.7
1.463, 63.6, 22.3
1.300, 72.8, 13.3
1.240, 76.8, 12.7
1.185, 81.2, 20.7


No. 4
The following is a computed powder X-ray diffraction pattern of AlTcAs2. It was derived from a crystal structure in Alexandria, relaxed with GGA-PBE, using copper Kα.
Neutral-atom scattering factors, no anomalous dispersion.

Structural model:
a = 4.0449 Å, b = 4.8592 Å, c = 4.0749 Å
α = 90.00°, β = 109.14°, γ = 90.00°
Positions (direct):
Al: 0.0000 0.0000 0.0000
Tc: 0.3003 0.5000 0.1836
As: 0.6180 0.0000 0.3739
As: 0.6625 0.5000 0.8210

Main lines, sorted by position (10 to 90 degrees two-theta):
d [Å], two_theta, I (rel.)
4.859, 18.3, 30.3
3.821, 23.3, 34.2
3.308, 27.0, 62.1
3.017, 29.6, 39.2
2.735, 32.7, 34.8
2.430, 37.0, 75.4
2.118, 42.7, 100.0
2.003, 45.3, 36.7
1.842, 49.5, 56.7
1.546, 59.8, 31.5


No. 5
The following is a computed powder X-ray diffraction pattern of AlTl2TcAs. It was derived from a crystal structure in Alexandria, relaxed with GGA-PBE, using copper Kα.
Neutral-atom scattering factors, no anomalous dispersion.

Structural model:
a = 5.2407 Å, b = 5.2407 Å, c = 4.7817 Å
α = 90.00°, β = 90.00°, γ = 90.00°
Positions (direct):
Al: 0.0000 0.0000 0.0000
Tl: 0.0000 0.5000 0.0000
Tl: 0.5000 0.0000 0.0000
Tc: 0.0000 0.0000 0.5000
As: 0.5000 0.5000 0.5000

Main lines, sorted by position (10 to 90 degrees two-theta):
d [Å], two_theta, I (rel.)
4.782, 18.6, 16.4
3.706, 24.0, 10.7
2.929, 30.5, 100.0
2.620, 34.2, 44.7
2.391, 37.6, 17.3
1.853, 49.2, 16.2
1.766, 51.8, 27.8
1.566, 59.0, 31.3
1.464, 63.5, 27.5
1.149, 84.3, 18.6


No. 6
The following is a computed powder X-ray diffraction pattern of AlTe2As. It was derived from a crystal structure in Alexandria, relaxed with GGA-PBE, using copper Kα.
Neutral-atom scattering factors, no anomalous dispersion.

Structural model:
a = 4.6096 Å, b = 3.9491 Å, c = 6.7726 Å
α = 90.00°, β = 108.25°, γ = 90.00°
Positions (direct):
Al: 0.0000 0.0000 0.0000
Te: 0.1478 0.0000 0.6487
Te: 0.3947 0.5000 0.2237
As: 0.5971 0.5000 0.8976

Main lines, sorted by position (10 to 90 degrees two-theta):
d [Å], two_theta, I (rel.)
4.378, 20.3, 38.7
3.365, 26.5, 92.2
3.185, 28.0, 43.2
3.095, 28.8, 82.0
2.932, 30.5, 100.0
2.479, 36.2, 46.7
1.974, 46.0, 34.9
1.935, 47.0, 33.0
1.888, 48.2, 38.8
1.884, 48.3, 27.0


No. 7
The following is a computed powder X-ray diffraction pattern of AlV2As. It was derived from a crystal structure in Alexandria, relaxed with GGA-PBE, using copper Kα.
Neutral-atom scattering factors, no anomalous dispersion.

Structural model:
a = 4.3378 Å, b = 4.3378 Å, c = 4.3378 Å
α = 60.00°, β = 60.00°, γ = 60.00°
Positions (direct):
Al: 0.0000 0.0000 0.0000
V: 0.2500 0.2500 0.2500
V: 0.7500 0.7500 0.7500
As: 0.5000 0.5000 0.5000

Main lines, sorted by position (10 to 90 degrees two-theta):
d [Å], two_theta, I (rel.)
3.542, 25.1, 15.6
2.169, 41.6, 100.0
1.850, 49.3, 7.6
1.534, 60.4, 15.7
1.407, 66.4, 3.0
1.252, 76.0, 30.8
1.181, 81.5, 2.3


No. 8
The following is a computed powder X-ray diffraction pattern of ZrAlAs2. It was derived from a crystal structure in Alexandria, relaxed with GGA-PBE, using copper Kα.
Neutral-atom scattering factors, no anomalous dispersion.

Structural model:
a = 5.3737 Å, b = 5.3145 Å, c = 5.4357 Å
α = 90.00°, β = 103.37°, γ = 90.00°
Positions (direct):
Zr: 0.0885 0.0000 0.3627
Zr: 0.9115 0.5000 0.6373
Al: 0.4697 0.7882 0.7921
Al: 0.5303 0.2882 0.2079
As: 0.0602 0.4868 0.1771
As: 0.4422 0.2979 0.7300
As: 0.5578 0.7979 0.2700
As: 0.9398 0.9868 0.8229

Main lines, sorted by position (10 to 90 degrees two-theta):
d [Å], two_theta, I (rel.)
5.228, 17.0, 18.0
2.644, 33.9, 30.9
2.614, 34.3, 38.5
2.594, 34.6, 32.8
2.369, 38.0, 100.0
2.367, 38.0, 48.6
2.347, 38.4, 40.5
2.154, 41.9, 20.2
1.864, 48.9, 27.5
1.480, 62.8, 19.9